Computed PXRD pattern of BeTeMo for Cu Kα, 1.54184 Å, from a DFT-relaxed cell (PBE, Alexandria).
Lines closer than 0.1° are merged.

Structure:
Cell: 4.774 4.774 4.774 Å, 139.04 139.04 59.32°
Fractional coordinates of all 3 atoms:
Be: 0.000 0.000 0.000
Te: 0.680 0.680 0.000
Mo: 0.351 0.351 0.000

Peak list (10 most intense, 5 to 70 degrees two-theta, low angle first)
Position (°2θ)	I_rel
21.42	30
28.81	68
38.10	69
42.43	100
43.64	6
44.12	18
54.97	23
59.29	10
59.68	7
63.25	14